Calculated powder X-ray diffraction pattern
Compound: MgFe8O8F8
Radiation: Cu Kα X-rays
Structure: a DFT-relaxed cell (GGA+U, Alexandria)

Peak list (6 most intense, 10 to 80 degrees two-theta, low angle first)
two_theta	I_rel	index
24.21	100	1 1 0
24.40	88	1 -1 0
34.44	33	0 1 4
34.79	25	1 0 4
38.39	19	1 1 4
63.23	23	0 0 8

Atomic structure:
```
data_MgFe8O8F8
_chemical_formula_sum 'Mg1 Fe8 O8 F8'
_cell_length_a 5.1538
_cell_length_b 5.2082
_cell_length_c 11.7807
_cell_angle_alpha 87.78
_cell_angle_beta 88.76
_cell_angle_gamma 89.52
_space_group_name_H-M_alt 'P 1'
_space_group_IT_number 1
loop_
_space_group_symop_operation_xyz
'x,y,z'
loop_
_atom_site_label
_atom_site_fract_x
_atom_site_fract_y
_atom_site_fract_z
Mg1 0.0000 0.0000 0.0000
Fe1 0.0150 0.4645 0.1261
Fe2 0.1128 0.5440 0.8584
Fe3 0.4829 0.0748 0.4965
Fe4 0.4918 0.0487 0.9945
Fe5 0.5951 0.8994 0.7427
Fe6 0.6563 0.9507 0.2591
Fe7 0.9615 0.4085 0.6232
Fe8 0.9919 0.4372 0.3764
O1 0.1948 0.3068 0.4988
O2 0.1995 0.3220 0.9859
O3 0.3341 0.8335 0.8639
O4 0.7043 0.1486 0.6270
O5 0.7390 0.1695 0.3797
O6 0.7403 0.1191 0.1175
O7 0.8475 0.6417 0.2583
O8 0.8512 0.6360 0.7434
F1 0.2196 0.2977 0.2624
F2 0.2365 0.3156 0.7384
F3 0.2534 0.8236 0.1037
F4 0.3601 0.8068 0.6166
F5 0.3758 0.8393 0.3721
F6 0.7766 0.1188 0.8639
F7 0.8245 0.6321 0.4967
F8 0.8327 0.6724 0.9779
```